[1]
Starting from a cell relaxed with GGA-PBE, the X-ray diffraction stick pattern of K2HoRhO4 was calculated for Cu Kα X-rays.
Intensities are scaled so that the largest is 1000.

```
data_K2HoRhO4
_symmetry_space_group_name_H-M 'P 1 2/m 1'
_symmetry_Int_Tables_number 10
_symmetry_space_group_name_Hall '-P 2y'
_cell_length_a 5.578
_cell_length_b 3.371
_cell_length_c 6.489
_cell_angle_alpha 90.00
_cell_angle_beta 108.05
_cell_angle_gamma 90.00
loop_
_atom_site_label
_atom_site_type_symbol
_atom_site_fract_x
_atom_site_fract_y
_atom_site_fract_z
_atom_site_occupancy
K1 K 0.000 0.000 0.000 1
K2 K 0.500 0.500 0.000 1
Ho1 Ho 0.000 0.500 0.500 1
Rh1 Rh 0.500 0.000 0.500 1
O1 O 0.239 0.000 0.691 1
O2 O 0.293 0.500 0.321 1
```

Top 10 peaks for 15 to 90 degrees two-theta, in order of rising 2θ:
- 2θ 28.94, d 3.085, I 543, (0 0 2)
- 2θ 31.45, d 2.845, I 288, (1 1 0)
- 2θ 32.38, d 2.765, I 853, (1 1 -1)
- 2θ 33.80, d 2.652, I 323, (2 0 0)
- 2θ 36.93, d 2.434, I 1000, (1 1 1)
- 2θ 37.24, d 2.414, I 496, (2 0 -2)
- 2θ 46.91, d 1.937, I 180, (1 1 2)
- 2θ 50.23, d 1.816, I 354, (1 1 -3)
- 2θ 56.56, d 1.627, I 361, (3 1 -1)
- 2θ 67.79, d 1.382, I 196, (2 2 -2)

[2]
Starting from a cell relaxed with GGA-PBE, the X-ray diffraction stick pattern of K2TlICl4 was calculated for Cu Kα X-rays.
Intensities are scaled so that the largest is 1000.

```
data_K2TlICl4
_symmetry_space_group_name_H-M 'C 1 2/c 1'
_symmetry_Int_Tables_number 15
_symmetry_space_group_name_Hall '-C 2yc'
_cell_length_a 11.961
_cell_length_b 14.600
_cell_length_c 8.905
_cell_angle_alpha 90.00
_cell_angle_beta 129.58
_cell_angle_gamma 90.00
loop_
_atom_site_label
_atom_site_type_symbol
_atom_site_fract_x
_atom_site_fract_y
_atom_site_fract_z
_atom_site_occupancy
K1 K 0.000 0.000 0.000 1
K2 K 0.250 0.250 0.000 1
Tl1 Tl 0.000 0.500 0.000 1
I1 I 0.250 0.250 0.500 1
Cl1 Cl 0.064 0.225 0.555 1
Cl2 Cl 0.244 0.459 0.981 1
```

Top 10 peaks for 15 to 90 degrees two-theta, in order of rising 2θ:
- 2θ 20.64, d 4.304, I 349, (1 3 0)
- 2θ 22.82, d 3.897, I 656, (2 2 0)
- 2θ 23.57, d 3.775, I 523, (2 2 -2)
- 2θ 24.38, d 3.652, I 1000, (0 4 0)
- 2θ 25.96, d 3.432, I 814, (0 0 2)
- 2θ 29.91, d 2.987, I 681, (4 0 -2)
- 2θ 35.92, d 2.500, I 562, (0 4 2)
- 2θ 38.97, d 2.311, I 486, (4 4 -2)
- 2θ 42.41, d 2.131, I 268, (2 6 -2)
- 2θ 48.22, d 1.887, I 250, (4 4 -4)

[3]
Starting from a cell relaxed with GGA-PBE, the X-ray diffraction stick pattern of Gd3Hg was calculated for Cu Kα X-rays.
Intensities are scaled so that the largest is 1000.

```
data_Gd3Hg
_symmetry_space_group_name_H-M 'I 4/m m m'
_symmetry_Int_Tables_number 139
_symmetry_space_group_name_Hall '-I 4 2'
_cell_length_a 4.769
_cell_length_b 4.769
_cell_length_c 10.002
_cell_angle_alpha 90.00
_cell_angle_beta 90.00
_cell_angle_gamma 90.00
loop_
_atom_site_label
_atom_site_type_symbol
_atom_site_fract_x
_atom_site_fract_y
_atom_site_fract_z
_atom_site_occupancy
Gd1 Gd 0.000 0.000 0.000 1
Gd2 Gd 0.000 0.500 0.250 1
Hg1 Hg 0.000 0.000 0.500 1
```

Top 10 peaks for 15 to 90 degrees two-theta, in order of rising 2θ:
- 2θ 32.01, d 2.796, I 1000, (1 1 2)
- 2θ 35.92, d 2.500, I 184, (0 0 4)
- 2θ 37.72, d 2.385, I 322, (2 0 0)
- 2θ 53.07, d 1.726, I 243, (2 0 4)
- 2θ 54.41, d 1.686, I 113, (2 2 0)
- 2θ 62.11, d 1.494, I 151, (1 1 6)
- 2θ 64.54, d 1.444, I 270, (3 1 2)
- 2θ 66.93, d 1.398, I 121, (2 2 4)
- 2θ 87.15, d 1.118, I 123, (3 1 6)
- 2θ 88.25, d 1.107, I 60, (2 0 8)

[4]
Starting from a cell relaxed with GGA-PBE, the X-ray diffraction stick pattern of MnNbOs3 was calculated for Cu Kα X-rays.
Intensities are scaled so that the largest is 1000.

```
data_MnNbOs3
_symmetry_space_group_name_H-M 'P m -3 m'
_symmetry_Int_Tables_number 221
_symmetry_space_group_name_Hall '-P 4 2 3'
_cell_length_a 4.401
_cell_length_b 4.401
_cell_length_c 4.401
_cell_angle_alpha 90.00
_cell_angle_beta 90.00
_cell_angle_gamma 90.00
loop_
_atom_site_label
_atom_site_type_symbol
_atom_site_fract_x
_atom_site_fract_y
_atom_site_fract_z
_atom_site_occupancy
Mn1 Mn 0.000 0.000 0.000 1
Nb1 Nb 0.500 0.500 0.500 1
Os1 Os 0.000 0.000 0.500 1
```

Top 10 peaks for 15 to 90 degrees two-theta, in order of rising 2θ:
- 2θ 20.18, d 4.401, I 182, (1 0 0)
- 2θ 35.33, d 2.541, I 1000, (1 1 1)
- 2θ 41.02, d 2.200, I 701, (2 0 0)
- 2θ 46.12, d 1.968, I 86, (2 1 0)
- 2θ 59.40, d 1.556, I 472, (2 2 0)
- 2θ 63.41, d 1.467, I 41, (3 0 0)
- 2θ 71.04, d 1.327, I 405, (3 1 1)
- 2θ 74.72, d 1.270, I 160, (2 2 2)
- 2θ 78.34, d 1.221, I 18, (3 2 0)
- 2θ 88.97, d 1.100, I 80, (4 0 0)

[5]
Starting from a cell relaxed with GGA-PBE, the X-ray diffraction stick pattern of CaCeBiO6 was calculated for Cu Kα X-rays.
Intensities are scaled so that the largest is 1000.

```
data_CaCeBiO6
_symmetry_space_group_name_H-M 'P 3 1 2'
_symmetry_Int_Tables_number 149
_symmetry_space_group_name_Hall 'P 3 2'
_cell_length_a 5.7767
_cell_length_b 5.7767
_cell_length_c 4.7666
_cell_angle_alpha 90.00
_cell_angle_beta 90.00
_cell_angle_gamma 120.00
loop_
_atom_site_label
_atom_site_type_symbol
_atom_site_fract_x
_atom_site_fract_y
_atom_site_fract_z
_atom_site_occupancy
Ca1 Ca 0.0000 0.0000 0.0000 1
Ce1 Ce 0.6667 0.3333 0.5000 1
Bi1 Bi 0.3333 0.6667 0.0000 1
O1 O 0.0112 0.3606 0.2415 1
```

Top 10 peaks for 15 to 90 degrees two-theta, in order of rising 2θ:
- 2θ 17.73, d 5.003, I 298, (1 0 0)
- 2θ 25.82, d 3.451, I 1000, (1 0 1)
- 2θ 30.96, d 2.888, I 402, (1 1 0)
- 2θ 40.74, d 2.215, I 303, (2 0 1)
- 2θ 49.59, d 1.838, I 354, (2 -1 2)
- 2θ 52.03, d 1.758, I 302, (3 -1 1)
- 2θ 55.07, d 1.668, I 151, (3 0 0)
- 2θ 61.21, d 1.514, I 93, (1 0 3)
- 2θ 70.71, d 1.332, I 123, (3 1 1)
- 2θ 78.66, d 1.216, I 93, (2 1 3)

[6]
Starting from a cell relaxed with GGA-PBE, the X-ray diffraction stick pattern of K2C was calculated for Cu Kα X-rays.
Intensities are scaled so that the largest is 1000.

```
data_K2C
_symmetry_space_group_name_H-M 'P -6 m 2'
_symmetry_Int_Tables_number 187
_symmetry_space_group_name_Hall 'P -6 2'
_cell_length_a 4.3021
_cell_length_b 4.3021
_cell_length_c 7.7752
_cell_angle_alpha 90.00
_cell_angle_beta 90.00
_cell_angle_gamma 120.00
loop_
_atom_site_label
_atom_site_type_symbol
_atom_site_fract_x
_atom_site_fract_y
_atom_site_fract_z
_atom_site_occupancy
K1 K 0.0000 0.0000 0.2121 1
C1 C 0.3333 0.6667 0.0000 1
```

Top 10 peaks for 15 to 90 degrees two-theta, in order of rising 2θ:
- 2θ 22.88, d 3.888, I 234, (0 0 2)
- 2θ 23.88, d 3.726, I 1000, (1 0 0)
- 2θ 33.31, d 2.690, I 839, (1 0 2)
- 2θ 42.00, d 2.151, I 278, (1 1 0)
- 2θ 42.49, d 2.128, I 223, (1 0 3)
- 2θ 48.36, d 1.882, I 165, (1 1 2)
- 2θ 48.89, d 1.863, I 120, (2 0 0)
- 2θ 54.63, d 1.680, I 166, (2 0 2)
- 2θ 66.38, d 1.408, I 86, (2 1 0)
- 2θ 71.22, d 1.324, I 136, (2 1 2)

Repeat the first record exactly.
Starting from a cell relaxed with GGA-PBE, the X-ray diffraction stick pattern of K2HoRhO4 was calculated for Cu Kα X-rays.
Intensities are scaled so that the largest is 1000.

```
data_K2HoRhO4
_symmetry_space_group_name_H-M 'P 1 2/m 1'
_symmetry_Int_Tables_number 10
_symmetry_space_group_name_Hall '-P 2y'
_cell_length_a 5.578
_cell_length_b 3.371
_cell_length_c 6.489
_cell_angle_alpha 90.00
_cell_angle_beta 108.05
_cell_angle_gamma 90.00
loop_
_atom_site_label
_atom_site_type_symbol
_atom_site_fract_x
_atom_site_fract_y
_atom_site_fract_z
_atom_site_occupancy
K1 K 0.000 0.000 0.000 1
K2 K 0.500 0.500 0.000 1
Ho1 Ho 0.000 0.500 0.500 1
Rh1 Rh 0.500 0.000 0.500 1
O1 O 0.239 0.000 0.691 1
O2 O 0.293 0.500 0.321 1
```

Top 10 peaks for 15 to 90 degrees two-theta, in order of rising 2θ:
- 2θ 28.94, d 3.085, I 543, (0 0 2)
- 2θ 31.45, d 2.845, I 288, (1 1 0)
- 2θ 32.38, d 2.765, I 853, (1 1 -1)
- 2θ 33.80, d 2.652, I 323, (2 0 0)
- 2θ 36.93, d 2.434, I 1000, (1 1 1)
- 2θ 37.24, d 2.414, I 496, (2 0 -2)
- 2θ 46.91, d 1.937, I 180, (1 1 2)
- 2θ 50.23, d 1.816, I 354, (1 1 -3)
- 2θ 56.56, d 1.627, I 361, (3 1 -1)
- 2θ 67.79, d 1.382, I 196, (2 2 -2)